(1)
Structure and theoretical PXRD pattern of Ba2CaCuSn2F14 (DFT lattice parameters and positions (GGA-PBE); Cu Ka).
Kinematic intensities with the Lorentz-polarization factor, no thermal factor.

Atomic structure:
```
Ba2CaCuSn2F14
1.0
5.613 0.000 0.000
-2.768 7.280 0.000
-0.080 -0.488 15.639
Ba Ca Cu Sn F
4 2 2 4 28
direct
0.000 0.000 0.000
0.170 0.998 0.499
0.355 0.715 0.746
0.532 0.717 0.251
0.709 0.375 0.877
0.842 0.382 0.378
0.768 0.376 0.624
0.780 0.374 0.124
0.120 0.120 0.748
0.170 0.119 0.248
0.354 0.606 0.003
0.429 0.604 0.504
0.081 0.610 0.900
0.131 0.322 0.460
0.135 0.857 0.228
0.145 0.682 0.583
0.171 0.542 0.125
0.179 0.373 0.281
0.225 0.689 0.396
0.299 0.039 0.844
0.356 0.187 0.139
0.362 0.372 0.783
0.363 0.333 0.963
0.377 0.060 0.674
0.411 0.892 0.019
0.444 0.133 0.336
0.546 0.539 0.634
0.631 0.689 0.899
0.634 0.289 0.508
0.649 0.897 0.520
0.702 0.683 0.080
0.706 0.618 0.394
0.716 0.441 0.240
0.822 0.287 0.008
0.853 0.059 0.173
0.863 0.130 0.837
0.898 0.437 0.742
0.898 0.857 0.730
0.911 0.036 0.342
0.998 0.188 0.639
```

Largest 10 diffraction maxima, by angle, 2θ from 5° to 70°:
16.93 deg, rel. 62
22.74 deg, rel. 72
24.19 deg, rel. 100
24.31 deg, rel. 97
26.68 deg, rel. 37
28.25 deg, rel. 42
28.42 deg, rel. 41
28.60 deg, rel. 32
28.69 deg, rel. 31
46.45 deg, rel. 46

(2)
Structure and theoretical PXRD pattern of Ba2CaTi2CuF14 (DFT lattice parameters and positions (GGA-PBE); Cu Ka).
Kinematic intensities with the Lorentz-polarization factor, no thermal factor.

Atomic structure:
```
Ba2CaTi2CuF14
1.0
7.183 -2.786 0.000
7.183 2.786 0.000
-0.911 0.000 15.231
Ba Ca Ti Cu F
4 2 4 2 28
direct
0.095 0.264 0.123
0.264 0.095 0.623
0.736 0.905 0.377
0.905 0.736 0.877
0.428 0.572 0.250
0.572 0.428 0.750
0.102 0.148 0.376
0.148 0.102 0.876
0.852 0.898 0.124
0.898 0.852 0.624
0.500 0.500 0.000
0.500 0.500 0.500
0.032 0.648 0.221
0.080 0.915 0.344
0.085 0.920 0.156
0.086 0.731 0.520
0.107 0.590 0.049
0.149 0.359 0.395
0.169 0.596 0.709
0.269 0.914 0.980
0.352 0.968 0.279
0.359 0.149 0.895
0.380 0.520 0.881
0.404 0.831 0.791
0.410 0.893 0.451
0.480 0.620 0.619
0.520 0.380 0.381
0.590 0.107 0.549
0.596 0.169 0.209
0.620 0.480 0.119
0.641 0.851 0.105
0.648 0.032 0.721
0.731 0.086 0.020
0.831 0.404 0.291
0.851 0.641 0.605
0.893 0.410 0.951
0.914 0.269 0.480
0.915 0.080 0.844
0.920 0.085 0.656
0.968 0.352 0.779
```

Largest 10 diffraction maxima, by angle, 2θ from 5° to 70°:
23.36 deg, rel. 24
24.54 deg, rel. 100
25.83 deg, rel. 20
28.77 deg, rel. 30
29.38 deg, rel. 23
34.92 deg, rel. 18
37.66 deg, rel. 22
39.31 deg, rel. 23
47.77 deg, rel. 15
53.34 deg, rel. 20

(3)
Structure and theoretical PXRD pattern of Ba4Ca4Cu6Hg2O17 (DFT lattice parameters and positions (GGA-PBE); Cu Ka).
Kinematic intensities with the Lorentz-polarization factor, no thermal factor.

Atomic structure:
```
Ba4Ca4Cu6Hg2O17
1.0
-2.731 2.731 16.023
2.731 -2.731 16.023
2.731 2.731 -16.023
Ba Ca Cu Hg O
4 4 6 2 17
direct
0.082 0.082 0.000
0.412 0.412 0.000
0.588 0.588 0.000
0.918 0.918 0.000
0.198 0.198 0.000
0.301 0.301 0.000
0.699 0.699 0.000
0.802 0.802 0.000
0.150 0.650 0.500
0.250 0.750 0.500
0.350 0.850 0.500
0.650 0.150 0.500
0.750 0.250 0.500
0.850 0.350 0.500
0.000 0.500 0.500
0.500 0.000 0.500
0.000 0.000 0.000
0.000 0.000 0.500
0.000 0.500 0.000
0.064 0.564 0.500
0.099 0.099 0.503
0.099 0.596 0.000
0.404 0.404 0.503
0.404 0.901 0.000
0.436 0.936 0.500
0.500 0.000 0.000
0.500 0.500 0.500
0.564 0.064 0.500
0.596 0.099 0.000
0.596 0.596 0.497
0.901 0.404 0.000
0.901 0.901 0.497
0.936 0.436 0.500
```

Largest 10 diffraction maxima, by angle, 2θ from 5° to 70°:
5.52 deg, rel. 54
25.61 deg, rel. 46
28.52 deg, rel. 100
32.20 deg, rel. 77
32.79 deg, rel. 87
33.56 deg, rel. 29
47.06 deg, rel. 50
47.63 deg, rel. 27
55.95 deg, rel. 32
58.17 deg, rel. 29

(4)
Structure and theoretical PXRD pattern of Ba2Ca2Cu3HgO8 (DFT lattice parameters and positions (GGA-PBE); Cu Ka).
Kinematic intensities with the Lorentz-polarization factor, no thermal factor.

Atomic structure:
```
Ba2Ca2Cu3HgO8
1.0
3.893 0.000 0.000
0.000 3.893 0.000
0.000 0.000 16.248
Ba Ca Cu Hg O
2 2 3 1 8
direct
0.000 0.000 0.184
0.000 0.000 0.816
0.000 0.000 0.401
0.000 0.000 0.599
0.500 0.500 0.308
0.500 0.500 0.500
0.500 0.500 0.692
0.500 0.500 0.000
0.000 0.500 0.304
0.000 0.500 0.500
0.000 0.500 0.696
0.500 0.000 0.304
0.500 0.000 0.500
0.500 0.000 0.696
0.500 0.500 0.124
0.500 0.500 0.876
```

Largest 10 diffraction maxima, by angle, 2θ from 5° to 70°:
25.37 deg, rel. 63
28.23 deg, rel. 100
31.84 deg, rel. 42
32.53 deg, rel. 80
33.05 deg, rel. 37
36.00 deg, rel. 30
43.07 deg, rel. 23
46.67 deg, rel. 46
47.07 deg, rel. 24
55.44 deg, rel. 31